[1]
The following is a simulated powder diffractogram of Mg3Si4. It was derived from a DFT-relaxed cell (PBE, the Materials Project), using Cu Kα X-rays.
No peak broadening, texture or thermal motion is included.

Largest 10 diffraction maxima, sorted by position, 10° ≤ 2θ ≤ 90°:
d (Å), Rel. int.
2.634, 79
2.547, 58
2.457, 36
2.429, 100
2.369, 77
2.249, 22
2.137, 34
2.108, 43
1.994, 94
1.872, 24

Crystal structure
```
Mg3Si4
1.0
6.751 0.000 0.000
0.000 3.987 0.000
-1.870 0.000 9.361
Mg Si
6 8
Direct
0.000 0.000 0.000 Mg
0.023 0.000 0.368 Mg
0.286 0.000 0.787 Mg
0.431 0.000 0.248 Mg
0.618 0.500 0.781 Mg
0.701 0.500 0.441 Mg
0.011 0.500 0.771 Si
0.155 0.500 0.196 Si
0.203 0.500 0.571 Si
0.308 0.500 0.988 Si
0.452 0.000 0.552 Si
0.604 0.000 0.019 Si
0.780 0.500 0.156 Si
0.844 0.000 0.630 Si
```

[2]
The following is a simulated powder diffractogram of Mg4Si3. It was derived from a DFT-relaxed cell (PBE, the Materials Project), using Cu Kα X-rays.
No peak broadening, texture or thermal motion is included.

Largest 10 diffraction maxima, sorted by position, 10° ≤ 2θ ≤ 90°:
d (Å), Rel. int.
2.644, 28
2.581, 29
2.500, 100
2.485, 65
2.472, 29
2.457, 30
2.448, 36
2.348, 27
2.225, 46
2.093, 28

Crystal structure
```
Mg4Si3
1.0
6.424 0.000 0.000
-1.362 6.490 0.000
-1.288 -3.355 6.676
Mg Si
8 6
Direct
0.000 0.000 0.000 Mg
0.028 0.506 0.939 Mg
0.088 0.720 0.588 Mg
0.233 0.287 0.502 Mg
0.464 0.262 0.960 Mg
0.590 0.831 0.626 Mg
0.709 0.274 0.495 Mg
0.771 0.776 0.252 Mg
0.299 0.541 0.271 Si
0.344 0.910 0.244 Si
0.398 0.816 0.916 Si
0.635 0.576 0.833 Si
0.898 0.366 0.234 Si
0.979 0.091 0.667 Si
```

[3]
The following is a simulated powder diffractogram of Mg3Si4. It was derived from a DFT-relaxed cell (PBE, the Materials Project), using Cu Kα X-rays.
No peak broadening, texture or thermal motion is included.

Largest 10 diffraction maxima, sorted by position, 10° ≤ 2θ ≤ 90°:
d (Å), Rel. int.
2.672, 55
2.542, 99
2.522, 60
2.494, 62
2.397, 52
2.358, 100
2.290, 90
2.249, 50
2.061, 45
1.955, 41

Crystal structure
```
Mg3Si4
1.0
5.280 0.000 0.000
-1.974 6.878 0.000
-0.720 -3.843 7.079
Mg Si
6 8
Direct
0.000 0.000 0.000 Mg
0.099 0.482 0.043 Mg
0.324 0.384 0.409 Mg
0.438 0.943 0.661 Mg
0.568 0.490 0.812 Mg
0.737 0.783 0.264 Mg
0.024 0.125 0.670 Si
0.104 0.609 0.753 Si
0.290 0.937 0.287 Si
0.479 0.910 0.017 Si
0.508 0.293 0.043 Si
0.719 0.222 0.504 Si
0.832 0.740 0.591 Si
0.845 0.413 0.318 Si
```

[4]
The following is a simulated powder diffractogram of Mg3Si4. It was derived from a DFT-relaxed cell (PBE, the Materials Project), using Cu Kα X-rays.
No peak broadening, texture or thermal motion is included.

Largest 10 diffraction maxima, sorted by position, 10° ≤ 2θ ≤ 90°:
d (Å), Rel. int.
3.939, 21
2.648, 48
2.546, 14
2.476, 100
2.376, 29
2.370, 28
2.310, 52
2.153, 28
2.065, 15
2.046, 63

Crystal structure
```
Mg3Si4
1.0
8.168 -2.046 0.000
8.168 2.046 0.000
-4.011 0.000 7.826
Mg Si
6 8
Direct
0.000 0.000 0.000 Mg
0.020 0.020 0.648 Mg
0.122 0.122 0.415 Mg
0.223 0.223 0.130 Mg
0.791 0.791 0.537 Mg
0.890 0.890 0.256 Mg
0.357 0.357 0.948 Si
0.387 0.387 0.455 Si
0.423 0.423 0.750 Si
0.492 0.492 0.229 Si
0.602 0.602 0.897 Si
0.632 0.632 0.203 Si
0.637 0.637 0.639 Si
0.767 0.767 0.917 Si
```

[5]
The following is a simulated powder diffractogram of Mg2Si3. It was derived from a DFT-relaxed cell (PBE, the Materials Project), using Cu Kα X-rays.
No peak broadening, texture or thermal motion is included.

Largest 10 diffraction maxima, sorted by position, 10° ≤ 2θ ≤ 90°:
d (Å), Rel. int.
2.635, 58
2.548, 56
2.510, 29
2.394, 51
2.388, 41
2.268, 39
2.235, 65
2.227, 44
2.165, 69
2.040, 100

Crystal structure
```
Mg2Si3
1.0
4.083 0.000 0.000
1.870 5.031 0.000
1.771 1.116 17.320
Mg Si
8 12
Direct
0.000 0.000 0.000 Mg
0.010 0.313 0.611 Mg
0.051 0.068 0.795 Mg
0.107 0.308 0.402 Mg
0.304 0.449 0.899 Mg
0.496 0.766 0.150 Mg
0.784 0.889 0.502 Mg
0.859 0.914 0.293 Mg
0.195 0.325 0.223 Si
0.262 0.385 0.075 Si
0.297 0.745 0.616 Si
0.388 0.425 0.728 Si
0.388 0.758 0.398 Si
0.495 0.442 0.508 Si
0.584 0.485 0.291 Si
0.592 0.893 0.896 Si
0.663 0.976 0.675 Si
0.699 0.569 0.005 Si
0.766 0.642 0.782 Si
0.822 0.146 0.146 Si
```

[6]
The following is a simulated powder diffractogram of Mg4Si7. It was derived from a DFT-relaxed cell (PBE, the Materials Project), using Cu Kα X-rays.
No peak broadening, texture or thermal motion is included.

Largest 10 diffraction maxima, sorted by position, 10° ≤ 2θ ≤ 90°:
d (Å), Rel. int.
2.763, 61
2.658, 48
2.577, 42
2.484, 51
2.417, 44
2.363, 34
2.330, 34
2.234, 34
2.215, 38
2.165, 100

Crystal structure
```
Mg4Si7
1.0
4.341 0.000 0.000
0.349 6.926 0.000
1.503 0.541 13.918
Mg Si
8 14
Direct
0.000 0.000 0.000 Mg
0.017 0.262 0.177 Mg
0.077 0.526 0.945 Mg
0.106 0.168 0.779 Mg
0.151 0.670 0.711 Mg
0.583 0.848 0.852 Mg
0.703 0.682 0.525 Mg
0.730 0.144 0.449 Mg
0.194 0.351 0.565 Si
0.201 0.989 0.572 Si
0.227 0.856 0.414 Si
0.254 0.881 0.161 Si
0.267 0.506 0.408 Si
0.481 0.045 0.282 Si
0.534 0.710 0.035 Si
0.535 0.218 0.915 Si
0.539 0.368 0.067 Si
0.629 0.475 0.799 Si
0.663 0.335 0.646 Si
0.678 0.978 0.664 Si
0.791 0.471 0.325 Si
0.873 0.801 0.287 Si
```

[7]
The following is a simulated powder diffractogram of Mg5Si6. It was derived from a DFT-relaxed cell (PBE, the Materials Project), using Cu Kα X-rays.
No peak broadening, texture or thermal motion is included.

Largest 10 diffraction maxima, sorted by position, 10° ≤ 2θ ≤ 90°:
d (Å), Rel. int.
2.724, 74
2.694, 63
2.670, 77
2.605, 69
2.594, 51
2.560, 79
2.452, 65
2.405, 100
2.375, 82
2.245, 63

Crystal structure
```
Mg5Si6
1.0
5.852 0.000 0.000
0.087 5.903 0.000
0.375 0.164 12.197
Mg Si
10 12
Direct
0.000 0.000 0.000 Mg
0.021 0.218 0.739 Mg
0.046 0.177 0.457 Mg
0.213 0.970 0.239 Mg
0.281 0.773 0.811 Mg
0.527 0.348 0.730 Mg
0.552 0.271 0.456 Mg
0.731 0.223 0.213 Mg
0.769 0.484 0.966 Mg
0.813 0.735 0.385 Mg
0.244 0.556 0.090 Si
0.248 0.354 0.921 Si
0.251 0.594 0.591 Si
0.289 0.400 0.277 Si
0.335 0.707 0.405 Si
0.337 0.996 0.608 Si
0.532 0.843 0.090 Si
0.556 0.078 0.934 Si
0.750 0.922 0.611 Si
0.766 0.825 0.808 Si
0.844 0.525 0.590 Si
0.875 0.682 0.166 Si
```

[8]
The following is a simulated powder diffractogram of Mg4Si7. It was derived from a DFT-relaxed cell (PBE, the Materials Project), using Cu Kα X-rays.
No peak broadening, texture or thermal motion is included.

Largest 10 diffraction maxima, sorted by position, 10° ≤ 2θ ≤ 90°:
d (Å), Rel. int.
2.558, 24
2.500, 58
2.461, 100
2.424, 37
2.309, 29
2.163, 73
2.103, 19
2.068, 17
2.013, 16
1.508, 16

Crystal structure
```
Mg4Si7
1.0
6.571 0.000 0.000
0.000 4.327 0.000
-0.398 0.000 13.648
Mg Si
8 14
Direct
0.000 0.000 0.000 Mg
0.013 0.500 0.195 Mg
0.201 0.000 0.346 Mg
0.391 0.500 0.521 Mg
0.496 0.000 0.928 Mg
0.511 0.500 0.267 Mg
0.875 0.500 0.437 Mg
0.960 0.500 0.665 Mg
0.081 0.000 0.536 Si
0.114 0.000 0.800 Si
0.200 0.500 0.876 Si
0.300 0.000 0.143 Si
0.320 0.500 0.047 Si
0.342 0.000 0.665 Si
0.487 0.500 0.740 Si
0.575 0.000 0.416 Si
0.671 0.000 0.134 Si
0.698 0.500 0.048 Si
0.713 0.000 0.582 Si
0.745 0.000 0.773 Si
0.812 0.500 0.878 Si
0.820 0.000 0.292 Si
```